Theoretical X-ray diffraction stick pattern of ScIn2TeMo for Cu Kα, 1.54184 Å, from a crystal structure in Alexandria, relaxed with GGA-PBE.
No peak broadening, texture or thermal motion is included.

Principal peaks in the range 10° ≤ 2θ ≤ 90°, in order of rising 2θ:
| (hkl) | 2θ (°) | d (Å) | I (rel.) |
| --- | --- | --- | --- |
| 1 0 0 | 15.74 | 5.631 | 68 |
| 0 0 1 | 17.75 | 4.998 | 37 |
| 1 1 1 | 28.66 | 3.114 | 67 |
| 2 0 0 | 31.78 | 2.816 | 100 |
| 0 0 2 | 35.94 | 2.499 | 36 |
| 2 2 0 | 45.56 | 1.991 | 36 |
| 2 0 2 | 48.72 | 1.869 | 59 |
| 2 2 2 | 59.35 | 1.557 | 32 |

Cell and atoms:
Cell lengths 5.631, 5.631, 4.998 Å; angles 90.00, 90.00, 90.00 degrees
Space group P4/mmm (No. 123)
Symmetry-distinct sites (fractional):
Sc  0.000  0.000  0.000 (multiplicity 1)
In  0.000  0.500  0.500 (multiplicity 2)
Te  0.500  0.500  0.500 (multiplicity 1)
Mo  0.500  0.500  0.000 (multiplicity 1)